1.
Simulated powder XRD pattern
Compound: MgSc5Al4
Radiation: copper Kα
Structure: a GGA-PBE-relaxed structure
Peak positions follow from Bragg's law for the DFT cell and can differ from measured ones.

Structural model:
```
data_MgSc5Al4
_space_group_name_H-M_alt 'P 4/m m m'
_space_group_IT_number 123
_space_group_name_Hall '-P 4 2'
_cell_length_a 3.3544
_cell_length_b 3.3544
_cell_length_c 17.6616
_cell_angle_alpha 90.00
_cell_angle_beta 90.00
_cell_angle_gamma 90.00
loop_
_atom_site_label
_atom_site_type_symbol
_atom_site_fract_x
_atom_site_fract_y
_atom_site_fract_z
_atom_site_occupancy
Mg1 Mg 0.0000 0.0000 0.0000 1
Sc1 Sc 0.5000 0.5000 0.1087 1
Sc2 Sc 0.5000 0.5000 0.3041 1
Sc3 Sc 0.5000 0.5000 0.5000 1
Al1 Al 0.0000 0.0000 0.2038 1
Al2 Al 0.0000 0.0000 0.4015 1
```

Largest 6 diffraction maxima, by intensity, 2θ from 15° to 90°:
- (1 0 5), 36.96 deg, I 100
- (1 1 0), 37.93 deg, I 47
- (2 1 5), 67.88 deg, I 30
- (2 0 0), 54.73 deg, I 15
- (1 1 10), 65.94 deg, I 15
- (2 0 10), 78.67 deg, I 9

---

2.
Simulated powder XRD pattern
Compound: SnO2
Radiation: copper Kα
Structure: a GGA-PBE-relaxed structure
Peak positions follow from Bragg's law for the DFT cell and can differ from measured ones.

Structural model:
```
data_SnO2
_space_group_name_H-M_alt 'I m m a'
_space_group_IT_number 74
_space_group_name_Hall '-I 2b 2'
_cell_length_a 6.4978
_cell_length_b 6.8289
_cell_length_c 6.8280
_cell_angle_alpha 90.00
_cell_angle_beta 90.00
_cell_angle_gamma 90.00
loop_
_atom_site_label
_atom_site_type_symbol
_atom_site_fract_x
_atom_site_fract_y
_atom_site_fract_z
_atom_site_occupancy
Sn1 Sn 0.0000 0.2500 0.2464 1
Sn2 Sn 0.2500 0.2500 0.7500 1
O1 O 0.0000 0.0565 0.7541 1
O2 O 0.2473 0.2500 0.4435 1
```

Largest 6 diffraction maxima, by intensity, 2θ from 15° to 90°:
- (0 2 0), 26.10 deg, I 100
- (2 1 1), 33.24 deg, I 82
- (2 3 1), 50.77 deg, I 71
- (0 2 2), 37.24 deg, I 24
- (2 3 3), 64.63 deg, I 22
- (4 2 0), 63.41 deg, I 17